# 1
For NdHo5Er4, a DFT-relaxed cell (GGA-PBE, Alexandria) gives the theoretical X-ray powder pattern in this record (a wavelength of 1.5418 Å).

Top 10 peaks for 10 to 90 degrees two-theta, sorted by position:
27.86°, I 676; 28.40°, I 338; 30.05°, I 1000; 31.08°, I 403; 33.56°, I 240; 34.99°, I 638; 39.39°, I 262; 40.20°, I 375; 54.65°, I 234; 57.25°, I 224

Crystal structure
```
10
Lattice="-5.063 5.063 3.143 5.063 -5.063 3.143 5.063 5.063 -3.143" Properties=species:S:1:pos:R:3 pbc="T T T"
Nd 0.000 0.000 0.000
Ho 0.000 0.000 2.865
Ho 6.521 2.689 1.426
Ho 2.689 3.606 1.426
Ho 2.374 1.457 4.569
Ho -1.457 2.374 4.569
Er 6.590 -0.515 1.448
Er 3.536 0.515 1.448
Er -0.515 3.536 1.448
Er 0.515 6.590 1.448
```

---

# 2
For BeCd4Au4, a DFT-relaxed cell (GGA-PBE, Alexandria) gives the theoretical X-ray powder pattern in this record (a wavelength of 1.5418 Å).

Top 10 peaks for 10 to 90 degrees two-theta, sorted by position:
10.88°, I 616; 27.90°, I 1000; 32.33°, I 624; 34.03°, I 701; 36.33°, I 189; 40.60°, I 519; 43.22°, I 505; 44.56°, I 551; 47.62°, I 187; 49.98°, I 469

Crystal structure
```
9
Lattice="-1.435 5.269 6.395 1.435 -5.269 6.395 1.435 5.269 -6.395" Properties=species:S:1:pos:R:3 pbc="T T T"
Be 0.000 0.000 0.000
Cd 1.713 -1.399 4.456
Cd 1.157 1.399 4.456
Cd -0.278 3.870 1.940
Cd 0.278 6.668 1.940
Au 1.547 1.417 -1.476
Au 1.323 1.417 1.476
Au -0.112 3.852 4.920
Au 0.112 3.852 7.871
```